Entry 1:
Simulated powder diffraction line list of Na4Tl15Bi for Cu Kα X-rays, from a PBE-relaxed structure.
Kinematic intensities with the Lorentz-polarization factor, no thermal factor.

Atomic structure:
```
Na4Tl15Bi
1.0
5.040 0.000 0.000
0.000 5.040 0.000
0.000 0.000 23.447
Na Tl Bi
4 15 1
Cartesian
0.000 0.000 2.298 Na
0.000 0.000 6.925 Na
0.000 0.000 16.522 Na
0.000 0.000 21.148 Na
0.000 2.520 0.000 Tl
0.000 2.520 4.587 Tl
0.000 2.520 9.309 Tl
0.000 2.520 14.138 Tl
0.000 2.520 18.859 Tl
2.520 0.000 0.000 Tl
2.520 0.000 4.587 Tl
2.520 0.000 9.309 Tl
2.520 0.000 14.138 Tl
2.520 0.000 18.859 Tl
2.520 2.520 2.362 Tl
2.520 2.520 6.854 Tl
2.520 2.520 11.723 Tl
2.520 2.520 16.593 Tl
2.520 2.520 21.084 Tl
0.000 0.000 11.723 Bi
```

Largest 12 diffraction maxima, low angle first, 10° ≤ 2θ ≤ 80°:
| hkl | 2θ/deg | intensity |
| --- | --- | --- |
| 1 0 0 | 17.6 | 9 |
| 1 1 0 | 25.0 | 4 |
| 1 0 5 | 26.0 | 7 |
| 1 1 5 | 31.5 | 100 |
| 2 0 0 | 35.6 | 37 |
| 0 0 10 | 38.4 | 14 |
| 2 2 0 | 51.3 | 13 |
| 2 0 10 | 53.4 | 22 |
| 3 1 5 | 61.4 | 31 |
| 1 1 15 | 65.2 | 11 |
| 2 2 10 | 65.8 | 12 |
| 4 0 0 | 75.4 | 4 |

Entry 2:
Simulated powder diffraction line list of Tb2Tm5Tl for Cu Kα X-rays, from a PBE-relaxed structure.
Kinematic intensities with the Lorentz-polarization factor, no thermal factor.

Atomic structure:
```
Tb2Tm5Tl
1.0
9.523 0.000 0.000
0.000 14.233 0.000
0.000 0.000 3.490
Tb Tm Tl
4 10 2
Cartesian
0.000 3.286 0.000 Tb
0.000 10.947 0.000 Tb
4.762 3.830 0.000 Tb
4.762 10.403 0.000 Tb
0.000 0.000 0.000 Tm
2.227 5.371 1.745 Tm
2.227 8.862 1.745 Tm
2.535 1.746 1.745 Tm
2.535 12.487 1.745 Tm
4.762 7.117 0.000 Tm
6.989 1.746 1.745 Tm
6.989 12.487 1.745 Tm
7.296 5.371 1.745 Tm
7.296 8.862 1.745 Tm
0.000 7.117 0.000 Tl
4.762 0.000 0.000 Tl
```

Largest 12 diffraction maxima, low angle first, 10° ≤ 2θ ≤ 80°:
| hkl | 2θ/deg | intensity |
| --- | --- | --- |
| 2 4 0 | 31.4 | 98 |
| 2 0 1 | 31.8 | 100 |
| 0 4 1 | 36.0 | 69 |
| 4 0 0 | 37.8 | 30 |
| 0 8 0 | 51.4 | 11 |
| 0 0 2 | 52.4 | 13 |
| 4 4 1 | 53.2 | 42 |
| 2 8 1 | 61.7 | 24 |
| 2 4 2 | 62.4 | 28 |
| 6 0 1 | 64.5 | 11 |
| 4 8 0 | 65.5 | 11 |
| 4 0 2 | 66.4 | 11 |